Entry 1:
This entry pairs a crystal structure of LiAcMg2Tl2 with its theoretical powder diffractogram. Radiation: Cu Kα (weighted mean of Kα1 and Kα2). Structure: DFT lattice parameters and positions (GGA-PBE).
Intensities are scaled so that the largest is 100.

Structure:
```
LiAcMg2Tl2
1.0
4.9162 0.0000 0.0000
-2.4581 4.2575 0.0000
0.0000 0.0000 7.7428
Li Ac Mg Tl
1 1 2 2
Direct
0.0000 0.0000 0.0000 Li
0.0000 0.0000 0.5000 Ac
0.3333 0.6667 0.1529 Mg
0.6667 0.3333 0.8471 Mg
0.3333 0.6667 0.7561 Tl
0.6667 0.3333 0.2439 Tl
```

Main lines, in order of rising 2θ (5° ≤ 2θ ≤ 70°):
2θ 11.4, d 7.743, I 16; 2θ 23.9, d 3.731, I 100; 2θ 31.2, d 2.864, I 64; 2θ 36.6, d 2.458, I 51; 2θ 40.9, d 2.207, I 25; 2θ 44.1, d 2.053, I 20; 2θ 48.8, d 1.865, I 19; 2θ 58.6, d 1.576, I 18; 2θ 60.9, d 1.521, I 18; 2θ 62.5, d 1.486, I 18

Entry 2:
This entry pairs a crystal structure of RbNa2Hg3 with its theoretical powder diffractogram. Radiation: Cu Kα (weighted mean of Kα1 and Kα2). Structure: DFT lattice parameters and positions (GGA-PBE).
Intensities are scaled so that the largest is 100.

Structure:
```
RbNa2Hg3
1.0
-2.4959 2.4959 16.9685
2.4959 -2.4959 16.9685
2.4959 2.4959 -16.9685
Rb Na Hg
2 4 6
Direct
0.1453 0.1453 0.0000 Rb
0.8547 0.8547 0.0000 Rb
0.2500 0.7500 0.5000 Na
0.4024 0.4024 0.0000 Na
0.5976 0.5976 0.0000 Na
0.7500 0.2500 0.5000 Na
0.0441 0.5441 0.5000 Hg
0.3105 0.3105 0.0000 Hg
0.4559 0.9559 0.5000 Hg
0.5441 0.0441 0.5000 Hg
0.6895 0.6895 0.0000 Hg
0.9559 0.4559 0.5000 Hg
```

Main lines, in order of rising 2θ (5° ≤ 2θ ≤ 70°):
2θ 5.2, d 16.968, I 82; 2θ 20.9, d 4.242, I 24; 2θ 22.1, d 4.021, I 20; 2θ 25.8, d 3.456, I 100; 2θ 27.4, d 3.259, I 32; 2θ 36.0, d 2.496, I 52; 2θ 36.7, d 2.446, I 45; 2θ 51.8, d 1.765, I 18; 2θ 58.7, d 1.572, I 23; 2θ 65.2, d 1.431, I 17